Record 1
For KGe4Pt4, a structure optimized by DFT (PBE) gives the theoretical PXRD pattern in this record (Cu Kα).

Principal peaks in the range 2θ from 15° to 90°, sorted by position:
d [Å], I/Imax, index
4.374, 68, 2 0 0
3.033, 100, 2 1 1
2.766, 85, 1 3 0
2.401, 64, 0 0 2
2.166, 33, 2 3 1
2.105, 21, 2 0 2
2.062, 45, 3 3 0
1.941, 100, 1 4 1
1.813, 49, 1 3 2
1.564, 38, 3 3 2
1.278, 26, 4 1 3
1.166, 32, 2 7 1

Cell lengths 8.748, 8.748, 4.803 Å; angles 90.00, 90.00, 90.00 degrees
Space group I4/m (No. 87)
Unique sites:
K (0.000, 0.000, 0.000) x2
Ge (0.116, 0.621, 0.500) x8
Pt (0.168, 0.320, 0.500) x8


Record 2
For KRbGePt, a structure optimized by DFT (PBE) gives the theoretical PXRD pattern in this record (Cu Kα).

Principal peaks in the range 2θ from 15° to 90°, sorted by position:
d [Å], I/Imax, index
4.861, 26, 0 0 6
3.688, 33, 1 0 1
3.312, 98, 1 0 4
3.240, 46, 0 0 9
3.135, 100, 0 1 5
2.774, 56, 1 0 7
2.603, 43, 0 1 8
2.430, 34, 0 0 12
2.146, 74, 1 1 0
2.096, 61, 1 1 3
1.789, 50, 1 1 9
1.609, 57, 1 1 12

Cell lengths 4.2924, 4.2924, 29.1643 Å; angles 90.00, 90.00, 120.00 degrees
Space group R3m (No. 160, hexagonal axes)
Unique sites:
K (0.0000, 0.0000, 0.0000) x3
Rb (0.0000, 0.0000, 0.1737) x3
Ge (0.0000, 0.0000, 0.7506) x3
Pt (0.0000, 0.0000, 0.4173) x3


Copy entry 1 word for word.
For KGe4Pt4, a structure optimized by DFT (PBE) gives the theoretical PXRD pattern in this record (Cu Kα).

Principal peaks in the range 2θ from 15° to 90°, sorted by position:
d [Å], I/Imax, index
4.374, 68, 2 0 0
3.033, 100, 2 1 1
2.766, 85, 1 3 0
2.401, 64, 0 0 2
2.166, 33, 2 3 1
2.105, 21, 2 0 2
2.062, 45, 3 3 0
1.941, 100, 1 4 1
1.813, 49, 1 3 2
1.564, 38, 3 3 2
1.278, 26, 4 1 3
1.166, 32, 2 7 1

Cell lengths 8.748, 8.748, 4.803 Å; angles 90.00, 90.00, 90.00 degrees
Space group I4/m (No. 87)
Unique sites:
K (0.000, 0.000, 0.000) x2
Ge (0.116, 0.621, 0.500) x8
Pt (0.168, 0.320, 0.500) x8